Calculated PXRD pattern of Ba3Pa2O5F2 for Cu Kα (λ = 1.5418 Å), from a GGA-PBE-relaxed structure.

Structural model:
abc: 4.0565 4.0565 27.4528
angles: 90.00 90.00 90.00
Space group I4/mmm (No. 139)
Symmetry-distinct sites (fractional):
Ba: 0.0000 0.0000 0.0000 x2
Ba: 0.0000 0.0000 0.1859 x4
Pa: 0.0000 0.0000 0.4137 x4
O: 0.0000 0.0000 0.5000 x2
O: 0.0000 0.5000 0.1203 x8
F: 0.0000 0.0000 0.2851 x4

Peak list (10 most intense, 2θ from 5° to 70°, by angle)
d 13.726, 6.44 deg, rel. 23, (0 0 2); d 3.263, 27.34 deg, rel. 100, (1 0 5); d 2.868, 31.18 deg, rel. 47, (1 1 0); d 2.820, 31.74 deg, rel. 24, (1 0 7); d 2.745, 32.62 deg, rel. 13, (0 0 10); d 2.028, 44.68 deg, rel. 23, (2 0 0); d 1.983, 45.75 deg, rel. 18, (1 1 10); d 1.789, 51.07 deg, rel. 14, (1 1 12); d 1.723, 53.17 deg, rel. 33, (2 1 5); d 1.631, 56.40 deg, rel. 11, (2 0 10)

***

Calculated PXRD pattern of Er7MgRu4 for Cu Kα (λ = 1.5418 Å), from a GGA-PBE-relaxed structure.

Structural model:
abc: 13.4709 5.3485 9.6213
angles: 90.00 126.10 90.00
Space group C2/m (No. 12)
Symmetry-distinct sites (fractional):
Er: 0.0000 0.0000 0.0000 x2
Er: 0.0755 0.5000 0.3736 x4
Er: 0.1789 0.0000 0.6303 x4
Er: 0.2158 0.5000 0.8767 x4
Mg: 0.0000 0.5000 0.0000 x2
Ru: 0.0651 0.0000 0.7799 x4
Ru: 0.1968 0.0000 0.3454 x4

Peak list (10 most intense, 2θ from 5° to 70°, by angle)
d 3.498, 25.47 deg, rel. 37, (1 1 -2); d 3.229, 27.62 deg, rel. 32, (4 0 -1); d 2.925, 30.56 deg, rel. 24, (4 0 -3); d 2.726, 32.85 deg, rel. 45, (3 1 -3); d 2.697, 33.21 deg, rel. 31, (1 1 2); d 2.674, 33.51 deg, rel. 100, (0 2 0); d 2.431, 36.98 deg, rel. 100, (3 1 1); d 2.319, 38.84 deg, rel. 75, (5 1 -3); d 2.277, 39.58 deg, rel. 21, (5 1 -1); d 1.493, 62.19 deg, rel. 27, (3 3 1)

***

Calculated PXRD pattern of Hf4Ir5Rh4 for Cu Kα (λ = 1.5418 Å), from a GGA-PBE-relaxed structure.

Structural model:
abc: 10.2306 10.2306 3.9971
angles: 90.00 90.00 90.00
Space group I4/m (No. 87)
Symmetry-distinct sites (fractional):
Hf: 0.1329 0.7713 0.0000 x8
Ir: 0.0000 0.0000 0.0000 x2
Ir: 0.0477 0.1918 0.5000 x8
Rh: 0.0817 0.3924 0.0000 x8

Peak list (10 most intense, 2θ from 5° to 70°, by angle)
d 7.234, 12.23 deg, rel. 9, (1 1 0); d 3.010, 29.68 deg, rel. 4, (2 1 1); d 2.314, 38.93 deg, rel. 100, (3 2 1); d 2.288, 39.39 deg, rel. 3, (2 4 0); d 2.108, 42.90 deg, rel. 6, (4 1 1); d 2.006, 45.19 deg, rel. 31, (1 5 0); d 1.999, 45.38 deg, rel. 17, (0 0 2); d 1.505, 61.62 deg, rel. 2, (2 4 2); d 1.419, 65.83 deg, rel. 9, (6 4 0); d 1.416, 65.97 deg, rel. 20, (1 5 2)

***

Calculated PXRD pattern of SrLi10In for Cu Kα (λ = 1.5418 Å), from a GGA-PBE-relaxed structure.

Structural model:
abc: 4.7858 5.6982 9.9575
angles: 90.00 90.00 90.00
Space group Pmmm (No. 47)
Symmetry-distinct sites (fractional):
Sr: 0.0000 0.0000 0.0000 x1
Li: 0.0000 0.0000 0.3574 x2
Li: 0.0000 0.5000 0.2028 x2
Li: 0.5000 0.0000 0.5000 x1
Li: 0.5000 0.2673 0.2823 x4
Li: 0.5000 0.5000 0.0000 x1
In: 0.0000 0.5000 0.5000 x1

Peak list (10 most intense, 2θ from 5° to 70°, by angle)
d 4.979, 17.82 deg, rel. 33, (0 0 2); d 4.946, 17.94 deg, rel. 65, (0 1 1); d 4.786, 18.54 deg, rel. 33, (1 0 0); d 3.443, 25.88 deg, rel. 100, (1 1 1); d 2.868, 31.19 deg, rel. 22, (0 1 3); d 2.473, 36.33 deg, rel. 16, (0 2 2); d 2.460, 36.52 deg, rel. 35, (1 1 3); d 2.448, 36.71 deg, rel. 18, (1 2 0); d 2.197, 41.09 deg, rel. 13, (1 2 2); d 2.155, 41.92 deg, rel. 22, (2 1 1)

***

Calculated PXRD pattern of AlPO for Cu Kα (λ = 1.5418 Å), from a GGA-PBE-relaxed structure.

Structural model:
abc: 3.6551 3.5272 6.2215
angles: 90.00 91.29 90.00
Space group P2_1/m (No. 11)
Symmetry-distinct sites (fractional):
Al: 0.2470 0.2500 0.3829 x2
P: 0.2027 0.2500 0.0093 x2
O: 0.2506 0.7500 0.5043 x2

Peak list (10 most intense, 2θ from 5° to 70°, by angle)
d 3.182, 28.04 deg, rel. 31, (1 0 -1); d 3.110, 28.70 deg, rel. 100, (0 0 2); d 3.068, 29.10 deg, rel. 30, (0 1 1); d 2.538, 35.37 deg, rel. 65, (1 1 0); d 2.363, 38.09 deg, rel. 20, (1 1 -1); d 2.339, 38.48 deg, rel. 38, (1 0 2); d 1.827, 49.91 deg, rel. 33, (2 0 0); d 1.764, 51.84 deg, rel. 35, (0 2 0); d 1.618, 56.91 deg, rel. 31, (1 1 -3); d 1.593, 57.89 deg, rel. 41, (1 1 3)

***

Calculated PXRD pattern of SmDy2TmS6 for Cu Kα (λ = 1.5418 Å), from a GGA-PBE-relaxed structure.

Structural model:
abc: 6.9306 6.9306 18.5309
angles: 90.00 90.00 120.00
Space group R3 (No. 146, hexagonal axes)
Symmetry-distinct sites (fractional):
Sm: 0.0000 0.0000 0.0000 x3
Dy: 0.0000 0.0000 0.2948 x3
Dy: 0.0000 0.0000 0.7975 x3
Tm: 0.0000 0.0000 0.4957 x3
S: 0.0095 0.7094 0.3969 x9
S: 0.0304 0.3599 0.5624 x9

Peak list (10 most intense, 2θ from 5° to 70°, by angle)
d 5.037, 17.61 deg, rel. 41, (0 1 2); d 3.667, 24.27 deg, rel. 98, (1 0 4); d 3.465, 25.71 deg, rel. 100, (1 1 0); d 2.519, 35.65 deg, rel. 47, (0 2 4); d 2.306, 39.07 deg, rel. 81, (2 -1 6); d 2.037, 44.47 deg, rel. 47, (3 -1 4); d 2.001, 45.33 deg, rel. 49, (3 0 0); d 1.771, 51.62 deg, rel. 25, (1 0 10); d 1.511, 61.35 deg, rel. 21, (2 2 6); d 1.435, 64.98 deg, rel. 20, (2 1 10)

***

Calculated PXRD pattern of KAcP2O6 for Cu Kα (λ = 1.5418 Å), from a GGA-PBE-relaxed structure.

Structural model:
abc: 5.7620 5.7620 19.1929
angles: 90.00 90.00 120.00
Space group R-3 (No. 148, hexagonal axes)
Symmetry-distinct sites (fractional):
K: 0.0000 0.0000 0.0000 x3
Ac: 0.0000 0.0000 0.5000 x3
P: 0.0000 0.0000 0.2640 x6
O: 0.0267 0.2713 0.2416 x18

Peak list (10 most intense, 2θ from 5° to 70°, by angle)
d 6.398, 13.84 deg, rel. 34, (0 0 3); d 4.829, 18.37 deg, rel. 61, (1 0 1); d 4.427, 20.06 deg, rel. 39, (0 1 2); d 3.459, 25.76 deg, rel. 100, (1 0 4); d 3.043, 29.36 deg, rel. 21, (0 1 5); d 2.881, 31.04 deg, rel. 40, (1 1 0); d 2.627, 34.13 deg, rel. 23, (2 -1 3); d 2.162, 41.78 deg, rel. 24, (0 1 8); d 2.141, 42.21 deg, rel. 25, (2 -1 6); d 1.755, 52.10 deg, rel. 20, (2 1 4)

***

Calculated PXRD pattern of Sr3CaPd for Cu Kα (λ = 1.5418 Å), from a GGA-PBE-relaxed structure.

Structural model:
abc: 7.3494 7.4632 9.4156
angles: 104.89 104.76 110.15
Space group P1 (No. 1)
Symmetry-distinct sites (fractional):
Sr: 0.0000 0.0000 0.0000 x1
Sr: 0.1110 0.6177 0.2512 x1
Sr: 0.3628 0.8790 0.7500 x1
Sr: 0.4868 0.4935 0.9884 x1
Sr: 0.6185 0.1184 0.2620 x1
Sr: 0.7319 0.7352 0.4993 x1
Ca: 0.2411 0.2455 0.5037 x1
Ca: 0.8860 0.3783 0.7537 x1
Pd: 0.1021 0.1209 0.7317 x1
Pd: 0.2418 0.7450 0.0048 x1

Peak list (10 most intense, 2θ from 5° to 70°, by angle)
d 8.423, 10.50 deg, rel. 33, (0 0 1); d 6.384, 13.87 deg, rel. 69, (1 0 -1); d 3.461, 25.74 deg, rel. 60, (1 -1 2); d 3.035, 29.43 deg, rel. 100, (2 -2 0); d 2.993, 29.85 deg, rel. 88, (1 1 1); d 2.982, 29.96 deg, rel. 86, (1 1 -3); d 2.147, 42.09 deg, rel. 35, (-1 3 1); d 2.137, 42.29 deg, rel. 33, (1 -3 3); d 2.120, 42.65 deg, rel. 34, (2 2 -2); d 2.117, 42.70 deg, rel. 64, (-3 1 3)

***

Calculated PXRD pattern of Pm8Dy6Sc for Cu Kα (λ = 1.5418 Å), from a GGA-PBE-relaxed structure.

Structural model:
abc: 9.4152 9.4152 6.4499
angles: 90.00 90.00 120.00
Space group P-3 (No. 147)
Symmetry-distinct sites (fractional):
Pm: 0.0404 0.7630 0.1807 x6
Pm: 0.3333 0.6667 0.1367 x2
Dy: 0.0945 0.6509 0.6684 x6
Sc: 0.0000 0.0000 0.5000 x1

Peak list (10 most intense, 2θ from 5° to 70°, by angle)
d 3.446, 25.85 deg, rel. 13, (0 2 1); d 3.225, 27.66 deg, rel. 12, (0 0 2); d 3.082, 28.97 deg, rel. 32, (1 2 0); d 2.999, 29.79 deg, rel. 19, (0 1 2); d 2.781, 32.19 deg, rel. 100, (3 -1 1); d 2.661, 33.69 deg, rel. 36, (1 1 2); d 1.797, 50.82 deg, rel. 12, (2 3 1); d 1.779, 51.35 deg, rel. 14, (4 1 0); d 1.499, 61.91 deg, rel. 13, (6 -4 1); d 1.411, 66.23 deg, rel. 12, (2 3 3)

***

Calculated PXRD pattern of Fe3ICl12 for Cu Kα (λ = 1.5418 Å), from a GGA-PBE-relaxed structure.

Structural model:
abc: 12.6166 12.6166 28.7002
angles: 90.00 90.00 120.00
Space group R3c (No. 161, hexagonal axes)
Symmetry-distinct sites (fractional):
Fe: 0.0181 0.3840 0.0000 x18
I: 0.0000 0.0000 0.4529 x6
Cl: 0.0190 0.1981 0.3915 x18
Cl: 0.0219 0.2247 0.2693 x18
Cl: 0.1364 0.4479 0.6770 x18
Cl: 0.1896 0.0631 0.6696 x18

Peak list (10 most intense, 2θ from 5° to 70°, by angle)
d 8.693, 10.18 deg, rel. 21, (0 1 2); d 5.998, 14.77 deg, rel. 27, (1 0 4); d 5.266, 16.83 deg, rel. 100, (1 1 3); d 5.106, 17.37 deg, rel. 36, (2 0 2); d 4.347, 20.43 deg, rel. 15, (0 2 4); d 4.088, 21.74 deg, rel. 17, (2 1 1); d 3.812, 23.34 deg, rel. 15, (1 1 6); d 2.898, 30.86 deg, rel. 15, (3 0 6); d 2.708, 33.08 deg, rel. 23, (1 2 8); d 2.682, 33.41 deg, rel. 12, (0 4 2)

***

Calculated PXRD pattern of Pr2Ge4Ir3 for Cu Kα (λ = 1.5418 Å), from a GGA-PBE-relaxed structure.

Structural model:
abc: 5.8012 15.3062 7.5625
angles: 90.00 90.00 90.00
Space group Cmce (No. 64)
Symmetry-distinct sites (fractional):
Pr: 0.0000 0.1101 0.0917 x8
Ge: 0.0000 0.1842 0.4742 x8
Ge: 0.2500 0.0590 0.7500 x8
Ir: 0.0000 0.0000 0.5000 x4
Ir: 0.2500 0.2237 0.7500 x8

Peak list (10 most intense, 2θ from 5° to 70°, by angle)
d 3.390, 26.29 deg, rel. 30, (0 2 2); d 2.712, 33.03 deg, rel. 19, (2 2 0); d 2.691, 33.30 deg, rel. 22, (1 3 2); d 2.550, 35.19 deg, rel. 100, (1 5 1); d 2.417, 37.20 deg, rel. 29, (0 6 1); d 2.394, 37.57 deg, rel. 28, (0 2 3); d 2.301, 39.14 deg, rel. 78, (2 0 2); d 2.115, 42.76 deg, rel. 19, (0 6 2); d 1.598, 57.69 deg, rel. 18, (3 5 1); d 1.525, 60.71 deg, rel. 21, (2 6 3)

***

Calculated PXRD pattern of Nb3Ga4Rh for Cu Kα (λ = 1.5418 Å), from a GGA-PBE-relaxed structure.

Structural model:
abc: 8.4615 5.5097 5.5756
angles: 90.00 90.00 90.00
Space group Pmn2_1 (No. 31)
Symmetry-distinct sites (fractional):
Nb: 0.0000 0.0186 0.0000 x2
Nb: 0.2430 0.2379 0.2785 x4
Ga: 0.0000 0.5153 0.0650 x2
Ga: 0.0000 0.9817 0.5127 x2
Ga: 0.2371 0.7400 0.2801 x4
Rh: 0.0000 0.4597 0.6059 x2

Peak list (10 most intense, 2θ from 5° to 70°, by angle)
d 2.488, 36.11 deg, rel. 8, (0 1 2); d 2.328, 38.68 deg, rel. 92, (2 0 2); d 2.309, 39.02 deg, rel. 100, (2 2 0); d 2.144, 42.14 deg, rel. 11, (2 1 2); d 2.115, 42.75 deg, rel. 40, (4 0 0); d 1.960, 46.34 deg, rel. 52, (0 2 2); d 1.612, 57.16 deg, rel. 4, (4 1 2); d 1.438, 64.86 deg, rel. 36, (4 2 2); d 1.394, 67.15 deg, rel. 5, (0 0 4); d 1.377, 68.07 deg, rel. 8, (0 4 0)

***

Calculated PXRD pattern of KTa2CrBi for Cu Kα (λ = 1.5418 Å), from a GGA-PBE-relaxed structure.

Structural model:
abc: 4.6492 4.6492 5.4453
angles: 90.00 90.00 90.00
Space group P4/mmm (No. 123)
Symmetry-distinct sites (fractional):
K: 0.0000 0.0000 0.0000 x1
Ta: 0.0000 0.5000 0.0000 x2
Cr: 0.5000 0.5000 0.5000 x1
Bi: 0.0000 0.0000 0.5000 x1

Peak list (10 most intense, 2θ from 5° to 70°, by angle)
d 5.445, 16.28 deg, rel. 7, (0 0 1); d 4.649, 19.09 deg, rel. 19, (1 0 0); d 2.814, 31.80 deg, rel. 100, (1 1 1); d 2.723, 32.90 deg, rel. 30, (0 0 2); d 2.325, 38.74 deg, rel. 38, (2 0 0); d 1.768, 51.71 deg, rel. 33, (2 0 2); d 1.644, 55.94 deg, rel. 13, (2 2 0); d 1.589, 58.05 deg, rel. 19, (1 1 3); d 1.419, 65.80 deg, rel. 26, (3 1 1); d 1.407, 66.44 deg, rel. 16, (2 2 2)